RbLu2Cu3Te5: simulated powder diffraction line list (λ = 1.5418 Å (Cu Kα)), based on a cell relaxed with GGA-PBE.
Lines closer than 0.1° are merged.

Atomic structure:
Cell: 4.3234 15.3567 17.9403 Å, 90.00 90.00 90.00°
Space group Cmcm (No. 63)
Inequivalent atoms, fractional coordinates:
Rb  0.0000  0.0567  0.2500 [4 per cell]
Lu  0.0000  0.1905  0.5906 [8 per cell]
Cu  0.0000  0.3433  0.2500 [4 per cell]
Cu  0.0000  0.4158  0.5253 [8 per cell]
Te  0.0000  0.1660  0.0742 [8 per cell]
Te  0.0000  0.2483  0.7500 [4 per cell]
Te  0.0000  0.4428  0.1190 [8 per cell]

Peak list (10 most intense, 10 to 90 degrees two-theta, in order of falling intensity)
27.45°, d 3.249, rel. 100.0; 26.99°, d 3.303, rel. 79.5; 33.70°, d 2.660, rel. 68.6; 29.88°, d 2.990, rel. 64.2; 28.80°, d 3.100, rel. 64.1; 41.79°, d 2.162, rel. 60.4; 44.76°, d 2.025, rel. 50.8; 35.86°, d 2.504, rel. 42.4; 37.00°, d 2.430, rel. 37.7; 11.52°, d 7.678, rel. 36.4